Diffraction record for Lu2GaTc. The PXRD pattern is theoretical, not measured: it uses a GGA-PBE-relaxed structure and CuKα.
Intensities are scaled so that the largest is 100.

The 9 most intense peaks (2θ from 10° to 90°), in order of rising 2θ:
two_theta  I/Imax  h k l
22.48  1  1 1 1
26.01  13  2 0 0
37.12  100  2 2 0
45.88  4  2 2 2
53.50  17  4 0 0
60.43  6  4 2 0
66.91  35  4 2 2
79.07  11  4 4 0
84.93  3  6 0 0

Crystal structure
a b c (Å): 6.851 6.851 6.851
angles (deg): 90.00 90.00 90.00
Space group Fm-3m (No. 225)
Unique sites:
Lu 0.250 0.250 0.250
Ga 0.000 0.000 0.000
Tc 0.000 0.000 0.500

---

Diffraction record for LuTi2Ga4. The PXRD pattern is theoretical, not measured: it uses a GGA-PBE-relaxed structure and CuKα.
Intensities are scaled so that the largest is 100.

The 12 most intense peaks (2θ from 10° to 90°), in order of rising 2θ:
two_theta  I/Imax  h k l
18.71  19  1 1 0
32.84  31  0 0 2
34.12  100  2 1 1
37.95  63  2 2 0
38.07  53  1 1 2
43.77  71  3 0 1
54.80  27  4 0 0
59.45  20  2 1 3
66.27  20  3 0 3
68.63  22  3 3 2
78.84  23  5 2 1
81.19  19  5 1 2

Crystal structure
a b c (Å): 6.706 6.706 5.454
angles (deg): 90.00 90.00 90.00
Space group I4/mmm (No. 139)
Unique sites:
Lu 0.000 0.000 0.000
Ti 0.000 0.500 0.250
Ga 0.198 0.198 0.500

---

Diffraction record for YLuGa6. The PXRD pattern is theoretical, not measured: it uses a GGA-PBE-relaxed structure and CuKα.
Intensities are scaled so that the largest is 100.

The 12 most intense peaks (2θ from 10° to 90°), in order of rising 2θ:
two_theta  I/Imax  h k l
25.12  19  1 0 2
33.88  14  2 0 0
35.20  30  2 0 1
37.67  31  0 0 4
38.92  100  2 0 2
44.53  15  2 0 3
51.56  9  2 0 4
59.71  6  2 0 5
60.62  20  2 2 0
68.84  18  2 0 6
73.62  23  2 2 4
74.42  13  4 0 2

Crystal structure
a b c (Å): 6.1098 6.1098 9.5505
angles (deg): 90.00 90.00 120.00
Space group P6_3/mmc (No. 194)
Unique sites:
Y 0.3333 0.6667 0.2500
Lu 0.0000 0.0000 0.0000
Ga 0.0000 0.5000 0.0000
Ga 0.1836 0.3672 0.7500

---

Diffraction record for MgGa. The PXRD pattern is theoretical, not measured: it uses a GGA-PBE-relaxed structure and CuKα.
Intensities are scaled so that the largest is 100.

The 12 most intense peaks (2θ from 10° to 90°), in order of rising 2θ:
two_theta  I/Imax  h k l
22.98  67  1 0 0
24.34  47  0 0 2
26.05  100  1 0 1
33.72  31  1 0 2
40.36  60  1 1 0
43.90  63  1 0 3
47.70  45  1 1 2
48.67  18  2 0 1
61.15  23  2 0 3
65.02  15  2 1 1
68.60  16  1 0 5
75.85  23  2 1 3

Crystal structure
a b c (Å): 4.4691 4.4691 7.3126
angles (deg): 90.00 90.00 120.00
Space group P6_3mc (No. 186)
Unique sites:
Mg 0.3333 0.6667 0.0000
Ga 0.3333 0.6667 0.3748

---

Diffraction record for MgGa5. The PXRD pattern is theoretical, not measured: it uses a GGA-PBE-relaxed structure and CuKα.
Intensities are scaled so that the largest is 100.

The 12 most intense peaks (2θ from 10° to 90°), in order of rising 2θ:
two_theta  I/Imax  h k l
12.42  9  0 0 2
33.84  26  0 1 3
35.88  40  2 0 0
38.44  100  1 1 3
42.11  38  1 0 6
50.14  15  2 1 3
57.76  10  0 2 0
65.84  13  0 1 9
66.19  19  3 1 3
69.90  11  2 2 0
74.02  13  1 2 6
77.32  16  2 1 9

Crystal structure
a b c (Å): 5.005 3.192 14.250
angles (deg): 90.00 90.00 90.00
Space group Amm2 (No. 38)
Unique sites:
Mg 0.000 0.000 0.000
Ga 0.000 0.000 0.331
Ga 0.000 0.000 0.670
Ga 0.500 0.000 0.114
Ga 0.500 0.000 0.444
Ga 0.500 0.000 0.779

---

Diffraction record for MgGa. The PXRD pattern is theoretical, not measured: it uses a GGA-PBE-relaxed structure and CuKα.
Intensities are scaled so that the largest is 100.

The 8 most intense peaks (2θ from 10° to 90°), in order of rising 2θ:
two_theta  I/Imax  h k l
26.48  29  1 0 0
37.80  100  1 1 0
46.75  8  1 1 1
54.53  17  2 0 0
61.62  11  2 1 0
68.26  33  2 1 1
80.76  10  2 2 0
86.81  5  3 0 0

Crystal structure
a b c (Å): 3.366 3.366 3.366
angles (deg): 90.00 90.00 90.00
Space group Pm-3m (No. 221)
Unique sites:
Mg 0.000 0.000 0.000
Ga 0.500 0.500 0.500